# CaTbMg2Hg4
Calculated powder X-ray diffraction pattern, λ = 1.5418 Å (Cu Kα). Input: a structure optimized by DFT (PBE).

Atomic structure:
Cell lengths 8.9081, 8.9081, 8.9081 Å; angles 33.17, 33.17, 33.17 degrees
Atoms (fractional coordinates):
Ca: 0.0000 0.0000 0.0000
Tb: 0.5000 0.5000 0.5000
Mg: 0.2496 0.2496 0.2496
Mg: 0.7504 0.7504 0.7504
Hg: 0.1250 0.1250 0.1250
Hg: 0.3759 0.3759 0.3759
Hg: 0.6241 0.6241 0.6241
Hg: 0.8750 0.8750 0.8750

Principal peaks in the range 10° ≤ 2θ ≤ 90°, in order of falling intensity:
2theta	I_rel
34.99	100
35.30	98
24.66	65
63.17	36
50.56	36
62.57	19